Record 1
Theoretical powder diffraction line list of LiTmVF6 for λ = 1.5418 Å (Cu Kα), from a DFT-relaxed cell (GGA+U, Alexandria).
Lines closer than 0.1° are merged.

Principal peaks in the range 15° ≤ 2θ ≤ 90°, low angle first:
hkl  2θ (°)  I_rel
0 0 2  18.06  33
1 0 1  20.09  100
1 1 0  25.46  79
1 1 2  31.39  35
1 0 3  32.80  49
2 0 2  40.83  21
2 1 1  41.85  32
1 1 4  45.11  13
2 1 3  49.73  56
2 2 0  52.30  16
1 1 6  62.65  12
3 0 3  63.12  20

Cell and atoms:
Cell lengths 4.948, 4.948, 9.823 Å; angles 90.00, 90.00, 90.00 degrees
Positions (direct):
Li: 0.000 0.000 0.000
Li: 0.500 0.500 0.500
Tm: 0.000 0.000 0.335
Tm: 0.500 0.500 0.835
V: 0.000 0.000 0.669
V: 0.500 0.500 0.169
F: 0.192 0.192 0.836
F: 0.198 0.198 0.167
F: 0.199 0.199 0.503
F: 0.301 0.699 0.003
F: 0.302 0.698 0.667
F: 0.308 0.692 0.336
F: 0.692 0.308 0.336
F: 0.698 0.302 0.667
F: 0.699 0.301 0.003
F: 0.801 0.801 0.503
F: 0.802 0.802 0.167
F: 0.808 0.808 0.836

---

Record 2
Theoretical powder diffraction line list of LiVF5 for λ = 1.5418 Å (Cu Kα), from a DFT-relaxed cell (GGA+U, Alexandria).
Lines closer than 0.1° are merged.

Principal peaks in the range 15° ≤ 2θ ≤ 90°, low angle first:
hkl  2θ (°)  I_rel
1 1 0  17.53  100
2 0 0  19.89  67
0 1 1  20.03  29
0 0 2  27.85  25
1 1 2  33.10  11
4 0 0  40.42  21
0 2 2  40.70  17
0 1 3  44.93  14
0 3 1  46.57  19
2 1 3  49.59  13
5 1 0  53.45  9
4 3 1  63.33  9

Cell and atoms:
Cell lengths 8.926, 6.142, 6.407 Å; angles 90.00, 90.00, 90.00 degrees
Positions (direct):
Li: 0.134 0.002 0.000
Li: 0.366 0.502 0.500
Li: 0.634 0.498 0.000
Li: 0.866 0.998 0.500
V: 0.000 0.423 0.749
V: 0.000 0.577 0.249
V: 0.500 0.077 0.749
V: 0.500 0.923 0.249
F: 0.000 0.123 0.749
F: 0.000 0.877 0.249
F: 0.026 0.677 0.940
F: 0.027 0.323 0.058
F: 0.204 0.457 0.706
F: 0.204 0.543 0.293
F: 0.296 0.043 0.793
F: 0.296 0.957 0.206
F: 0.473 0.823 0.558
F: 0.474 0.177 0.440
F: 0.500 0.377 0.749
F: 0.500 0.623 0.249
F: 0.526 0.823 0.940
F: 0.527 0.177 0.058
F: 0.704 0.043 0.706
F: 0.704 0.957 0.293
F: 0.796 0.457 0.793
F: 0.796 0.543 0.206
F: 0.973 0.677 0.558
F: 0.974 0.323 0.440

---

Record 3
Theoretical powder diffraction line list of LiVF5 for λ = 1.5418 Å (Cu Kα), from a DFT-relaxed cell (GGA+U, Alexandria).
Lines closer than 0.1° are merged.

Principal peaks in the range 15° ≤ 2θ ≤ 90°, low angle first:
hkl  2θ (°)  I_rel
0 1 1  15.63  100
0 2 0  17.14  13
1 0 -1  19.95  15
1 0 1  20.43  24
0 2 1  21.61  29
1 1 -1  21.74  19
1 1 1  22.18  13
1 2 0  23.07  51
1 1 2  32.13  8
2 2 0  35.58  11
0 4 1  37.20  9
0 1 3  40.88  9

Cell and atoms:
Cell lengths 5.780, 10.349, 6.781 Å; angles 90.00, 91.38, 90.00 degrees
Positions (direct):
Li: 0.039 0.000 0.262
Li: 0.452 0.777 0.386
Li: 0.548 0.277 0.614
Li: 0.961 0.500 0.738
V: 0.043 0.334 0.350
V: 0.466 0.657 0.871
V: 0.534 0.157 0.129
V: 0.957 0.834 0.650
F: 0.029 0.492 0.255
F: 0.039 0.161 0.412
F: 0.171 0.869 0.444
F: 0.219 0.791 0.838
F: 0.237 0.533 0.886
F: 0.275 0.369 0.538
F: 0.279 0.288 0.155
F: 0.309 0.030 0.113
F: 0.462 0.653 0.601
F: 0.470 0.698 0.131
F: 0.530 0.198 0.869
F: 0.538 0.153 0.399
F: 0.691 0.530 0.887
F: 0.721 0.788 0.845
F: 0.725 0.869 0.462
F: 0.763 0.033 0.114
F: 0.781 0.291 0.162
F: 0.829 0.369 0.556
F: 0.961 0.661 0.588
F: 0.971 0.992 0.745

---

Record 4
Theoretical powder diffraction line list of Li3VF6 for λ = 1.5418 Å (Cu Kα), from a DFT-relaxed cell (GGA+U, Alexandria).
Lines closer than 0.1° are merged.

Principal peaks in the range 15° ≤ 2θ ≤ 90°, low angle first:
hkl  2θ (°)  I_rel
0 0 1  17.73  100
0 2 0  19.68  46
1 1 0  21.07  86
1 1 -1  21.83  82
0 2 1  26.61  59
1 1 1  32.54  21
1 3 0  35.28  29
1 3 -1  35.76  17
2 0 -2  39.50  50
1 3 1  43.43  87
1 3 -3  58.87  22
3 3 -1  61.40  29

Cell and atoms:
Cell lengths 5.278, 9.022, 5.536 Å; angles 90.00, 115.35, 90.00 degrees
Positions (direct):
Li: 0.065 0.000 0.083
Li: 0.261 0.003 0.593
Li: 0.379 0.331 0.827
Li: 0.621 0.831 0.173
Li: 0.739 0.503 0.407
Li: 0.935 0.500 0.917
V: 0.274 0.672 0.530
V: 0.726 0.172 0.470
F: 0.012 0.531 0.269
F: 0.027 0.839 0.307
F: 0.041 0.636 0.717
F: 0.468 0.006 0.265
F: 0.478 0.828 0.788
F: 0.491 0.673 0.316
F: 0.509 0.173 0.684
F: 0.522 0.328 0.212
F: 0.532 0.506 0.735
F: 0.959 0.136 0.283
F: 0.973 0.339 0.693
F: 0.988 0.031 0.731

---

Record 5
Theoretical powder diffraction line list of LiVF5 for λ = 1.5418 Å (Cu Kα), from a DFT-relaxed cell (GGA+U, Alexandria).
Lines closer than 0.1° are merged.

Principal peaks in the range 15° ≤ 2θ ≤ 90°, low angle first:
hkl  2θ (°)  I_rel
1 1 0  19.36  84
1 0 1  23.40  100
1 1 1  27.19  30
2 0 0  27.51  44
2 1 1  36.42  23
0 0 2  38.37  25
1 3 0  44.16  43
2 1 2  50.01  14
4 0 0  56.78  13
1 3 2  59.91  19
1 4 1  62.25  13
4 2 0  64.23  15

Cell and atoms:
Cell lengths 6.485, 6.485, 4.692 Å; angles 90.00, 90.00, 90.00 degrees
Positions (direct):
Li: 0.250 0.750 0.000
Li: 0.750 0.250 0.000
V: 0.250 0.250 0.338
V: 0.750 0.750 0.662
F: 0.018 0.686 0.768
F: 0.186 0.982 0.232
F: 0.250 0.250 0.712
F: 0.314 0.518 0.232
F: 0.482 0.814 0.768
F: 0.518 0.186 0.232
F: 0.686 0.482 0.768
F: 0.750 0.750 0.288
F: 0.814 0.018 0.768
F: 0.982 0.314 0.232

---

Record 6
Theoretical powder diffraction line list of Li4VF6 for λ = 1.5418 Å (Cu Kα), from a DFT-relaxed cell (GGA+U, Alexandria).
Lines closer than 0.1° are merged.

Principal peaks in the range 15° ≤ 2θ ≤ 90°, low angle first:
hkl  2θ (°)  I_rel
0 2 0  18.26  100
2 2 0  28.38  51
1 3 0  29.63  40
1 1 1  32.64  99
1 2 1  36.46  88
3 2 0  37.57  94
2 2 1  41.24  33
1 3 1  42.15  33
3 3 0  43.18  39
0 4 1  47.89  42
2 4 1  53.06  83
4 0 1  53.63  53

Cell and atoms:
Cell lengths 8.253, 9.716, 3.049 Å; angles 90.00, 90.00, 90.00 degrees
Positions (direct):
Li: 0.140 0.074 0.000
Li: 0.191 0.811 0.500
Li: 0.309 0.311 0.500
Li: 0.360 0.574 0.000
Li: 0.640 0.426 0.000
Li: 0.691 0.689 0.500
Li: 0.809 0.189 0.500
Li: 0.860 0.926 0.000
V: 0.000 0.500 0.500
V: 0.500 0.000 0.500
F: 0.081 0.881 0.000
F: 0.101 0.377 0.000
F: 0.226 0.615 0.500
F: 0.274 0.115 0.500
F: 0.399 0.877 0.000
F: 0.419 0.381 0.000
F: 0.581 0.619 0.000
F: 0.601 0.123 0.000
F: 0.726 0.885 0.500
F: 0.774 0.385 0.500
F: 0.899 0.623 0.000
F: 0.919 0.119 0.000

---

Record 7
Theoretical powder diffraction line list of LiVF6 for λ = 1.5418 Å (Cu Kα), from a DFT-relaxed cell (GGA+U, Alexandria).
Lines closer than 0.1° are merged.

Principal peaks in the range 15° ≤ 2θ ≤ 90°, low angle first:
hkl  2θ (°)  I_rel
0 0 2  20.25  33
1 0 1  20.91  100
1 1 0  25.95  34
1 1 2  33.13  16
1 1 3  40.52  40
2 1 0  41.58  13
2 1 1  42.90  10
2 1 3  52.49  21
2 2 0  53.36  14
2 2 2  57.66  8
3 1 2  64.27  6
3 0 3  65.96  13

Cell and atoms:
Cell lengths 4.856, 4.856, 8.771 Å; angles 90.00, 90.00, 90.00 degrees
Positions (direct):
Li: 0.000 0.000 0.000
Li: 0.500 0.500 0.500
V: 0.000 0.000 0.646
V: 0.500 0.500 0.146
F: 0.177 0.177 0.800
F: 0.197 0.197 0.508
F: 0.235 0.235 0.138
F: 0.265 0.735 0.638
F: 0.303 0.697 0.008
F: 0.323 0.677 0.300
F: 0.677 0.323 0.300
F: 0.697 0.303 0.008
F: 0.735 0.265 0.638
F: 0.765 0.765 0.138
F: 0.803 0.803 0.508
F: 0.823 0.823 0.800

---

Record 8
Theoretical powder diffraction line list of LiV3F10 for λ = 1.5418 Å (Cu Kα), from a DFT-relaxed cell (GGA+U, Alexandria).
Lines closer than 0.1° are merged.

Principal peaks in the range 15° ≤ 2θ ≤ 90°, low angle first:
hkl  2θ (°)  I_rel
0 1 2  18.75  44
1 0 0  22.36  100
0 1 4  27.93  46
0 2 0  29.26  14
0 1 7  44.84  10
0 3 1  44.96  10
2 0 0  45.64  25
0 2 6  46.99  12
0 0 8  48.57  14
0 3 4  51.07  15
2 1 -4  54.24  10
1 3 -4  56.41  11

Cell and atoms:
Cell lengths 3.975, 6.104, 14.995 Å; angles 90.00, 90.26, 90.00 degrees
Positions (direct):
Li: 0.000 0.000 0.000
Li: 0.000 0.000 0.500
V: 0.000 0.008 0.250
V: 0.000 0.992 0.750
V: 0.009 0.450 0.887
V: 0.009 0.550 0.387
V: 0.991 0.450 0.613
V: 0.991 0.550 0.113
F: 0.000 0.348 0.750
F: 0.000 0.652 0.250
F: 0.024 0.112 0.622
F: 0.024 0.888 0.122
F: 0.073 0.316 0.013
F: 0.073 0.684 0.513
F: 0.084 0.268 0.329
F: 0.084 0.732 0.829
F: 0.489 0.434 0.615
F: 0.489 0.566 0.115
F: 0.500 0.014 0.750
F: 0.500 0.986 0.250
F: 0.511 0.434 0.885
F: 0.511 0.566 0.385
F: 0.916 0.268 0.171
F: 0.916 0.732 0.671
F: 0.927 0.316 0.487
F: 0.927 0.684 0.987
F: 0.976 0.112 0.878
F: 0.976 0.888 0.378